1.
This entry pairs a crystal structure of GdErTh with its theoretical powder XRD pattern. Radiation: Cu Kα, 1.54184 Å. Structure: a DFT-relaxed cell (PBE, Alexandria).
Intensities are scaled so that the largest is 100.

Crystal structure
```
data_GdErTh
_chemical_formula_sum 'Gd1 Er1 Th1'
_cell_length_a 3.5672
_cell_length_b 3.5672
_cell_length_c 8.6534
_cell_angle_alpha 90.00
_cell_angle_beta 90.00
_cell_angle_gamma 120.00
_symmetry_space_group_name_H-M 'P 3 m 1'
_symmetry_Int_Tables_number 156
loop_
_symmetry_equiv_pos_as_xyz
'x,y,z'
'-y,x-y,z'
'-x+y,-x,z'
'-y,-x,z'
'-x+y,y,z'
'x,x-y,z'
loop_
_atom_site_label
_atom_site_type_symbol
_atom_site_fract_x
_atom_site_fract_y
_atom_site_fract_z
Gd1 Gd 0.0000 0.0000 0.0000
Er1 Er 0.6667 0.3333 0.3483
Th1 Th 0.3333 0.6667 0.6727
```

Most intense lines, 2θ from 5° to 70°, low angle first:
| d/Å | I/Imax | (hkl) |
| --- | --- | --- |
| 8.653 | 8 | 0 0 1 |
| 2.909 | 100 | 1 0 1 |
| 2.884 | 32 | 0 0 3 |
| 2.514 | 68 | 0 1 2 |
| 1.784 | 24 | 1 1 0 |
| 1.772 | 23 | 1 0 4 |
| 1.521 | 15 | 0 2 1 |
| 1.517 | 28 | 1 1 3 |
| 1.510 | 15 | 0 1 5 |
| 1.455 | 13 | 2 0 2 |

2.
This entry pairs a crystal structure of Er5Ge4 with its theoretical powder XRD pattern. Radiation: Cu Kα, 1.54184 Å. Structure: a DFT-relaxed cell (PBE, Alexandria).
Intensities are scaled so that the largest is 100.

Crystal structure
```
data_Er5Ge4
_chemical_formula_sum 'Er20 Ge16'
_cell_length_a 7.588
_cell_length_b 14.574
_cell_length_c 7.658
_cell_angle_alpha 90.00
_cell_angle_beta 90.00
_cell_angle_gamma 90.00
_symmetry_space_group_name_H-M 'P n m a'
_symmetry_Int_Tables_number 62
loop_
_symmetry_equiv_pos_as_xyz
'x,y,z'
'-x,-y,-z'
'-x+1/2,-y,z+1/2'
'x+1/2,y,-z+1/2'
'x+1/2,-y+1/2,-z+1/2'
'-x+1/2,y+1/2,z+1/2'
'-x,y+1/2,-z'
'x,-y+1/2,z'
loop_
_atom_site_label
_atom_site_type_symbol
_atom_site_fract_x
_atom_site_fract_y
_atom_site_fract_z
Er1 Er 0.033 0.102 0.176
Er2 Er 0.119 0.617 0.340
Er3 Er 0.216 0.250 0.502
Ge1 Ge 0.084 0.250 0.881
Ge2 Ge 0.161 0.750 0.639
Ge3 Ge 0.222 0.044 0.531
```

Most intense lines, 2θ from 5° to 70°, low angle first:
| d/Å | I/Imax | (hkl) |
| --- | --- | --- |
| 3.398 | 28 | 2 0 1 |
| 2.796 | 100 | 1 3 2 |
| 2.785 | 33 | 2 3 1 |
| 2.695 | 35 | 2 0 2 |
| 2.639 | 42 | 0 4 2 |
| 2.628 | 36 | 2 4 0 |
| 2.486 | 58 | 2 4 1 |
| 2.429 | 28 | 0 6 0 |
| 2.387 | 49 | 1 1 3 |
| 2.370 | 31 | 3 1 1 |

3.
This entry pairs a crystal structure of Er3Ge4 with its theoretical powder XRD pattern. Radiation: Cu Kα, 1.54184 Å. Structure: a DFT-relaxed cell (PBE, Alexandria).
Intensities are scaled so that the largest is 100.

Crystal structure
```
data_Er3Ge4
_chemical_formula_sum 'Er12 Ge16'
_cell_length_a 4.030
_cell_length_b 10.620
_cell_length_c 14.212
_cell_angle_alpha 90.00
_cell_angle_beta 90.00
_cell_angle_gamma 90.00
_symmetry_space_group_name_H-M 'C m c m'
_symmetry_Int_Tables_number 63
_symmetry_space_group_name_Hall '-C 2c 2'
loop_
_atom_site_label
_atom_site_type_symbol
_atom_site_fract_x
_atom_site_fract_y
_atom_site_fract_z
Er1 Er 0.000 0.047 0.250
Er2 Er 0.000 0.331 0.097
Ge1 Ge 0.000 0.000 0.000
Ge2 Ge 0.000 0.224 0.750
Ge3 Ge 0.000 0.380 0.608
```

Most intense lines, 2θ from 5° to 70°, low angle first:
| d/Å | I/Imax | (hkl) |
| --- | --- | --- |
| 3.329 | 26 | 1 1 2 |
| 2.951 | 52 | 0 2 4 |
| 2.659 | 81 | 1 3 0 |
| 2.611 | 40 | 0 4 1 |
| 2.585 | 100 | 1 1 4 |
| 2.369 | 26 | 0 0 6 |
| 2.319 | 35 | 1 3 3 |
| 2.127 | 36 | 0 4 4 |
| 2.015 | 35 | 2 0 0 |
| 1.769 | 22 | 1 3 6 |